K2Nb3Br9: theoretical XRD peak list (λ = 1.5418 Å (Cu Kα)), based on a DFT-relaxed cell (PBE, the Materials Project).
Neutral-atom scattering factors, no anomalous dispersion.

Atomic structure:
Cell lengths 10.4202, 10.4202, 10.3183 Å; angles 102.46, 102.46, 117.60 degrees
Atoms (fractional coordinates):
K: 0.0506 0.7291 0.6678
K: 0.2709 0.9494 0.3322
K: 0.7291 0.0506 0.6678
K: 0.9494 0.2709 0.3322
Nb: 0.2885 0.4555 0.8666
Nb: 0.3845 0.3845 0.1230
Nb: 0.4555 0.2885 0.8666
Nb: 0.5445 0.7115 0.1334
Nb: 0.6155 0.6155 0.8770
Nb: 0.7115 0.5445 0.1334
Br: 0.0008 0.6063 0.3199
Br: 0.0996 0.3062 0.9873
Br: 0.1842 0.1842 0.6745
Br: 0.2294 0.2294 0.2874
Br: 0.2948 0.7052 0.0000
Br: 0.3062 0.0996 0.9873
Br: 0.3812 0.5849 0.6870
Br: 0.3937 0.9992 0.6801
Br: 0.4151 0.6188 0.3130
Br: 0.5849 0.3812 0.6870
Br: 0.6063 0.0008 0.3199
Br: 0.6188 0.4151 0.3130
Br: 0.6938 0.9004 0.0127
Br: 0.7052 0.2948 0.0000
Br: 0.7706 0.7706 0.7126
Br: 0.8158 0.8158 0.3255
Br: 0.9004 0.6938 0.0127
Br: 0.9992 0.3937 0.6801

Largest 10 diffraction maxima, sorted by position, 2θ from 5° to 70°:
2θ/deg, Rel. int.
9.43, 62.6
9.92, 56.4
10.29, 100.0
11.14, 64.9
28.55, 36.8
30.63, 38.6
31.17, 60.9
35.06, 54.4
40.66, 36.9
49.34, 31.9